Structure and calculated XRD peak list of Rb2CrF6 (a DFT-relaxed cell (GGA+U, Alexandria); Cu Kα (λ = 1.5418 Å)).
Intensities are scaled so that the largest is 100.

Lattice parameters (Å, degrees): 6.2358 7.8655 7.9286 90.00 119.34 90.00
Fractional coordinates of all 18 atoms:
Rb  0.1823  0.0664  0.3164
Rb  0.1823  0.4336  0.8164
Rb  0.8177  0.5664  0.1836
Rb  0.8177  0.9336  0.6836
Cr  0.5000  0.0000  0.0000
Cr  0.5000  0.5000  0.5000
F  0.2168  0.1107  0.9780
F  0.2168  0.3893  0.4780
F  0.3389  0.7069  0.4525
F  0.3389  0.7931  0.9525
F  0.3761  0.0288  0.7363
F  0.3761  0.4712  0.2363
F  0.6239  0.5288  0.7637
F  0.6239  0.9712  0.2637
F  0.6611  0.2069  0.0475
F  0.6611  0.2931  0.5475
F  0.7832  0.6107  0.5220
F  0.7832  0.8893  0.0220

Most intense lines, 2θ from 10° to 80°, low angle first:
d/Å	I/Imax	(hkl)
4.472	20.2	1 1 0
3.933	65.5	0 2 0
3.910	100.0	1 0 -2
3.418	29.7	0 2 1
3.210	71.6	1 1 1
2.883	80.5	2 1 -1
2.361	48.7	1 3 0
2.335	20.3	2 1 -3
2.211	49.7	0 1 3
2.189	24.0	1 2 -3